Diffraction record for SrTiP2O8. The powder XRD pattern is calculated, not measured: it uses a crystal structure in the Materials Project, relaxed with GGA-PBE and λ = 1.5418 Å (Cu Kα).

Most intense lines, 10° ≤ 2θ ≤ 90°, by angle:
Position (°2θ)  I_rel
20.07  57
21.82  60
23.71  76
24.31  37
30.92  100
31.89  68
34.03  42
37.26  65
42.02  31
47.15  23

Cell and atoms:
Cell lengths 4.8558, 4.8558, 7.4559 Å; angles 92.71, 92.71, 65.71 degrees
Fractional positions:
Sr  0.0000  0.0000  0.0000
Ti  0.0000  0.0000  0.5000
P  0.3648  0.3648  0.7164
P  0.6352  0.6352  0.2836
O  0.2290  0.2290  0.5623
O  0.2319  0.7150  0.6921
O  0.2850  0.7681  0.3079
O  0.3009  0.3009  0.9035
O  0.6991  0.6991  0.0965
O  0.7150  0.2319  0.6921
O  0.7681  0.2850  0.3079
O  0.7710  0.7710  0.4377

=====

Diffraction record for SrTi4P6O24. The powder XRD pattern is calculated, not measured: it uses a crystal structure in the Materials Project, relaxed with GGA-PBE and λ = 1.5418 Å (Cu Kα).

Most intense lines, 10° ≤ 2θ ≤ 90°, by angle:
Position (°2θ)  I_rel
11.66  14
12.66  28
20.95  44
24.04  100
28.93  17
31.64  66
32.50  17
36.71  17
49.23  21
57.51  15

Cell and atoms:
Cell lengths 9.0337, 9.0337, 9.0337 Å; angles 55.98, 55.98, 55.98 degrees
Fractional positions:
Sr  0.0000  0.0000  0.0000
Ti  0.1497  0.1497  0.1497
Ti  0.3561  0.3561  0.3561
Ti  0.6439  0.6439  0.6439
Ti  0.8503  0.8503  0.8503
P  0.0305  0.7514  0.4627
P  0.2486  0.5373  0.9695
P  0.4627  0.0305  0.7514
P  0.5373  0.9695  0.2486
P  0.7514  0.4627  0.0305
P  0.9695  0.2486  0.5373
O  0.9996  0.2108  0.3732
O  0.0004  0.7892  0.6268
O  0.0917  0.7300  0.9061
O  0.0939  0.9083  0.2700
O  0.1559  0.2366  0.5183
O  0.1889  0.5538  0.4634
O  0.2108  0.3732  0.9996
O  0.2366  0.5183  0.1559
O  0.2700  0.0939  0.9083
O  0.3732  0.9996  0.2108
O  0.4462  0.5366  0.8111
O  0.4634  0.1889  0.5538
O  0.4817  0.8441  0.7634
O  0.5183  0.1559  0.2366
O  0.5366  0.8111  0.4462
O  0.5538  0.4634  0.1889
O  0.6268  0.0004  0.7892
O  0.7300  0.9061  0.0917
O  0.7634  0.4817  0.8441
O  0.7892  0.6268  0.0004
O  0.8111  0.4462  0.5366
O  0.8441  0.7634  0.4817
O  0.9061  0.0917  0.7300
O  0.9083  0.2700  0.0939

=====

Diffraction record for SrZnP2O7. The powder XRD pattern is calculated, not measured: it uses a crystal structure in the Materials Project, relaxed with GGA-PBE and λ = 1.5418 Å (Cu Kα).

Most intense lines, 10° ≤ 2θ ≤ 90°, by angle:
Position (°2θ)  I_rel
12.65  35
26.41  100
27.09  67
28.64  68
29.85  34
30.49  39
33.05  42
33.25  45
43.33  34
45.22  35

Cell and atoms:
Cell lengths 5.3883, 8.3144, 14.0001 Å; angles 90.00, 112.41, 90.00 degrees
Fractional positions:
Sr  0.0091  0.1612  0.2209
Sr  0.0091  0.3388  0.7209
Sr  0.9909  0.6612  0.2791
Sr  0.9909  0.8388  0.7791
Zn  0.2775  0.6528  0.6047
Zn  0.2775  0.8472  0.1047
Zn  0.7225  0.1528  0.8953
Zn  0.7225  0.3472  0.3953
P  0.3352  0.1984  0.0199
P  0.3352  0.3016  0.5199
P  0.4170  0.0356  0.6656
P  0.4170  0.4644  0.1656
P  0.5830  0.5356  0.8344
P  0.5830  0.9644  0.3344
P  0.6648  0.6984  0.4801
P  0.6648  0.8016  0.9801
O  0.1133  0.1855  0.9114
O  0.1133  0.3145  0.4114
O  0.1919  0.0589  0.7049
O  0.1919  0.4411  0.2049
O  0.2725  0.0959  0.1002
O  0.2725  0.4041  0.6002
O  0.3190  0.1151  0.5513
O  0.3190  0.3849  0.0513
O  0.3197  0.6196  0.7659
O  0.3197  0.8804  0.2659
O  0.3784  0.6676  0.4745
O  0.3784  0.8324  0.9745
O  0.4806  0.6404  0.1522
O  0.4806  0.8596  0.6522
O  0.5194  0.1404  0.3478
O  0.5194  0.3596  0.8478
O  0.6216  0.1676  0.0255
O  0.6216  0.3324  0.5255
O  0.6803  0.1196  0.7341
O  0.6803  0.3804  0.2341
O  0.6810  0.6151  0.9487
O  0.6810  0.8849  0.4487
O  0.7275  0.5959  0.3998
O  0.7275  0.9041  0.8998
O  0.8081  0.5589  0.7951
O  0.8081  0.9411  0.2951
O  0.8867  0.6855  0.5886
O  0.8867  0.8145  0.0886

=====

Diffraction record for SrZn2P2O8. The powder XRD pattern is calculated, not measured: it uses a crystal structure in the Materials Project, relaxed with GGA-PBE and λ = 1.5418 Å (Cu Kα).

Most intense lines, 10° ≤ 2θ ≤ 90°, by angle:
Position (°2θ)  I_rel
21.05  33
21.78  100
23.53  56
25.31  56
26.88  71
29.49  77
29.73  69
32.97  38
34.84  48
48.42  32

Cell and atoms:
Cell lengths 8.4475, 9.6471, 9.1423 Å; angles 90.00, 92.10, 90.00 degrees
Fractional positions:
Sr  0.2466  0.0816  0.1101
Sr  0.2466  0.4184  0.6101
Sr  0.7534  0.5816  0.3899
Sr  0.7534  0.9184  0.8899
Zn  0.0807  0.6811  0.0503
Zn  0.0807  0.8189  0.5503
Zn  0.4248  0.0728  0.7105
Zn  0.4248  0.4272  0.2105
Zn  0.5752  0.5728  0.7895
Zn  0.5752  0.9272  0.2895
Zn  0.9193  0.1811  0.4497
Zn  0.9193  0.3189  0.9497
P  0.0576  0.0848  0.7500
P  0.0576  0.4152  0.2500
P  0.4557  0.7060  0.0691
P  0.4557  0.7940  0.5691
P  0.5443  0.2060  0.4309
P  0.5443  0.2940  0.9309
P  0.9424  0.5848  0.7500
P  0.9424  0.9152  0.2500
O  0.0158  0.0521  0.3105
O  0.0158  0.4479  0.8105
O  0.0513  0.6272  0.6231
O  0.0513  0.8728  0.1231
O  0.0641  0.1953  0.6273
O  0.0641  0.3047  0.1273
O  0.2268  0.0653  0.8207
O  0.2268  0.4347  0.3207
O  0.2989  0.6436  0.0076
O  0.2989  0.8564  0.5076
O  0.4191  0.2081  0.5522
O  0.4191  0.2919  0.0522
O  0.4337  0.6423  0.6232
O  0.4337  0.8577  0.1232
O  0.4770  0.1117  0.3038
O  0.4770  0.3883  0.8038
O  0.5230  0.6117  0.1962
O  0.5230  0.8883  0.6962
O  0.5663  0.1423  0.8768
O  0.5663  0.3577  0.3768
O  0.5809  0.7081  0.9478
O  0.5809  0.7919  0.4478
O  0.7011  0.1436  0.4924
O  0.7011  0.3564  0.9924
O  0.7732  0.5653  0.6793
O  0.7732  0.9347  0.1793
O  0.9359  0.6953  0.8727
O  0.9359  0.8047  0.3727
O  0.9487  0.1272  0.8769
O  0.9487  0.3728  0.3769
O  0.9842  0.5521  0.1895
O  0.9842  0.9479  0.6895

=====

Diffraction record for Ta9PO25. The powder XRD pattern is calculated, not measured: it uses a crystal structure in the Materials Project, relaxed with GGA-PBE and λ = 1.5418 Å (Cu Kα).

Most intense lines, 10° ≤ 2θ ≤ 90°, by angle:
Position (°2θ)  I_rel
17.82  39
23.62  50
25.31  100
26.23  22
30.84  55
32.92  28
36.10  23
38.57  30
43.81  23
53.98  23

Cell and atoms:
Cell lengths 11.2957, 11.2957, 11.2957 Å; angles 91.69, 91.69, 160.22 degrees
Fractional positions:
Ta  0.0000  0.0000  0.0000
Ta  0.1052  0.2203  0.3267
Ta  0.1122  0.6679  0.7882
Ta  0.2214  0.8948  0.1150
Ta  0.3321  0.1203  0.4442
Ta  0.6760  0.8878  0.5558
Ta  0.7797  0.1064  0.8850
Ta  0.8797  0.3240  0.2118
Ta  0.8936  0.7786  0.6734
P  0.2500  0.7500  0.5000
O  0.0056  0.7154  0.7291
O  0.0537  0.1188  0.1682
O  0.0965  0.5847  0.6166
O  0.1145  0.9463  0.0651
O  0.1529  0.3511  0.5107
O  0.1769  0.7837  0.9555
O  0.2163  0.1718  0.3932
O  0.2481  0.6145  0.8597
O  0.2846  0.0137  0.2902
O  0.3578  0.8471  0.1982
O  0.3855  0.2451  0.6335
O  0.4153  0.0318  0.5117
O  0.5000  0.5000  0.0000
O  0.5201  0.9035  0.4883
O  0.6116  0.7519  0.3665
O  0.6489  0.1596  0.8018
O  0.7235  0.9944  0.7098
O  0.7549  0.3884  0.1403
O  0.7786  0.8231  0.6068
O  0.8282  0.2214  0.0445
O  0.8404  0.6422  0.4893
O  0.8812  0.0494  0.9349
O  0.9506  0.8855  0.8318
O  0.9682  0.4799  0.3834
O  0.9863  0.2765  0.2709

=====

Diffraction record for TaP2O7. The powder XRD pattern is calculated, not measured: it uses a crystal structure in the Materials Project, relaxed with GGA-PBE and λ = 1.5418 Å (Cu Kα).

Most intense lines, 10° ≤ 2θ ≤ 90°, by angle:
Position (°2θ)  I_rel
18.32  82
21.18  100
30.13  50
35.49  62
37.12  18
47.23  22
48.53  36
53.51  30
57.05  31
65.87  18

Cell and atoms:
Cell lengths 8.3890, 8.3890, 8.3890 Å; angles 90.00, 90.00, 90.00 degrees
Fractional positions:
Ta  0.0000  0.0000  0.0000
Ta  0.0000  0.5000  0.5000
Ta  0.5000  0.0000  0.5000
Ta  0.5000  0.5000  0.0000
P  0.1099  0.6099  0.8901
P  0.1099  0.8901  0.3901
P  0.3901  0.1099  0.8901
P  0.3901  0.3901  0.3901
P  0.6099  0.6099  0.6099
P  0.6099  0.8901  0.1099
P  0.8901  0.1099  0.6099
P  0.8901  0.3901  0.1099
O  0.0000  0.0000  0.5000
O  0.0000  0.5000  0.0000
O  0.0567  0.7188  0.4138
O  0.0567  0.7812  0.9138
O  0.0862  0.5567  0.7188
O  0.0862  0.9433  0.2188
O  0.2188  0.0862  0.9433
O  0.2188  0.4138  0.4433
O  0.2812  0.5862  0.9433
O  0.2812  0.9138  0.4433
O  0.4138  0.0567  0.7188
O  0.4138  0.4433  0.2188
O  0.4433  0.2188  0.4138
O  0.4433  0.2812  0.9138
O  0.5000  0.0000  0.0000
O  0.5000  0.5000  0.5000
O  0.5567  0.7188  0.0862
O  0.5567  0.7812  0.5862
O  0.5862  0.5567  0.7812
O  0.5862  0.9433  0.2812
O  0.7188  0.0862  0.5567
O  0.7188  0.4138  0.0567
O  0.7812  0.5862  0.5567
O  0.7812  0.9138  0.0567
O  0.9138  0.0567  0.7812
O  0.9138  0.4433  0.2812
O  0.9433  0.2188  0.0862
O  0.9433  0.2812  0.5862